# 1
Structure and theoretical powder diffractogram of Er2S2I (DFT lattice parameters and positions (GGA-PBE); Cu Ka).
Kinematic intensities with the Lorentz-polarization factor, no thermal factor.

Structure:
Lattice parameters (Å, degrees): 7.319 7.319 7.319 146.90 137.14 55.20
Positions (direct):
Er 0.192 0.192 0.000
Er 0.808 0.808 0.000
S 0.318 0.818 0.500
S 0.682 0.182 0.500
I 0.000 0.500 0.500

Largest 12 diffraction maxima, most intense first, 5 to 70 degrees two-theta:
Position (°2θ)	I (rel.)
29.76	100.0
30.48	84.8
17.94	67.3
45.42	61.5
33.51	42.4
13.65	37.0
38.57	32.1
43.40	20.5
55.92	19.2
59.44	18.5
64.02	14.6
58.03	14.0

# 2
Structure and theoretical powder diffractogram of Rb3Er2Cl9 (DFT lattice parameters and positions (GGA-PBE); Cu Ka).
Kinematic intensities with the Lorentz-polarization factor, no thermal factor.

Structure:
Lattice parameters (Å, degrees): 9.724 9.724 9.724 83.90 83.90 83.90
Positions (direct):
Rb 0.085 0.750 0.415
Rb 0.250 0.585 0.915
Rb 0.415 0.085 0.750
Rb 0.585 0.915 0.250
Rb 0.750 0.415 0.085
Rb 0.915 0.250 0.585
Er 0.150 0.150 0.150
Er 0.350 0.350 0.350
Er 0.650 0.650 0.650
Er 0.850 0.850 0.850
Cl 0.079 0.268 0.919
Cl 0.081 0.921 0.732
Cl 0.097 0.403 0.250
Cl 0.232 0.421 0.581
Cl 0.250 0.097 0.403
Cl 0.268 0.919 0.079
Cl 0.403 0.250 0.097
Cl 0.419 0.768 0.579
Cl 0.421 0.581 0.232
Cl 0.579 0.419 0.768
Cl 0.581 0.232 0.421
Cl 0.597 0.750 0.903
Cl 0.732 0.081 0.921
Cl 0.750 0.903 0.597
Cl 0.768 0.579 0.419
Cl 0.903 0.597 0.750
Cl 0.919 0.079 0.268
Cl 0.921 0.732 0.081

Largest 12 diffraction maxima, most intense first, 5 to 70 degrees two-theta:
Position (°2θ)	I (rel.)
31.09	100.0
13.62	91.5
23.71	90.9
40.26	57.8
32.06	42.9
48.51	42.9
20.72	41.4
47.26	29.1
28.47	27.4
34.63	25.6
12.37	24.7
24.88	23.2